Structure and computed powder diffraction line list of Nd2Mg5Ni4 (a DFT-relaxed cell (PBE, Alexandria); Cu Kα, 1.54184 Å).

Atomic structure:
Cell: 12.432 5.740 7.860 Å, 90.00 128.27 90.00°
Space group C2/m (No. 12)
Unique sites:
Nd  0.219  0.000  0.164 [4 per cell]
Mg  0.000  0.500  0.000 [2 per cell]
Mg  0.039  0.239  0.359 [8 per cell]
Ni  0.180  0.000  0.765 [4 per cell]
Ni  0.224  0.500  0.412 [4 per cell]

Main lines, by angle (2θ = 10–80°):
2θ (°), I (rel.), h k l
18.2, 100.0, 2 0 0
26.7, 50.7, 3 1 -1
28.9, 35.9, 1 1 -2
31.2, 47.1, 0 2 0
35.3, 45.7, 2 0 -3
36.3, 80.7, 2 2 0
38.9, 66.6, 1 1 2
42.5, 35.8, 5 1 -3